Record 1
Calculated powder diffractogram of Ce4Lu11S22 for Cu Kα, 1.54184 Å, from the PBE geometry in the Materials Project.
Lines closer than 0.1° are merged.

The 6 most intense peaks (10 to 90 degrees two-theta), low angle first:
2θ 23.81, I 77.0
2θ 24.56, I 100.0
2θ 26.84, I 63.8
2θ 28.09, I 65.4
2θ 31.99, I 61.4
2θ 34.46, I 53.3

Cell and atoms:
Unit cell a=19.406 b=19.406 c=11.214 alpha=91.32 beta=91.32 gamma=11.48
Atoms (fractional coordinates):
Ce (0.104, 0.104, 0.012)
Ce (0.367, 0.367, 0.349)
Ce (0.633, 0.633, 0.651)
Ce (0.896, 0.896, 0.988)
Lu (0.000, 0.000, 0.000)
Lu (0.070, 0.070, 0.362)
Lu (0.202, 0.202, 0.941)
Lu (0.263, 0.263, 0.352)
Lu (0.343, 0.343, 0.700)
Lu (0.462, 0.462, 0.270)
Lu (0.538, 0.538, 0.730)
Lu (0.657, 0.657, 0.300)
Lu (0.737, 0.737, 0.648)
Lu (0.798, 0.798, 0.059)
Lu (0.930, 0.930, 0.638)
S (0.008, 0.008, 0.241)
S (0.087, 0.087, 0.752)
S (0.135, 0.135, 0.451)
S (0.169, 0.169, 0.152)
S (0.190, 0.190, 0.691)
S (0.255, 0.255, 0.120)
S (0.280, 0.280, 0.589)
S (0.350, 0.350, 0.091)
S (0.407, 0.407, 0.787)
S (0.445, 0.445, 0.493)
S (0.453, 0.453, 0.032)
S (0.547, 0.547, 0.968)
S (0.555, 0.555, 0.507)
S (0.593, 0.593, 0.213)
S (0.650, 0.650, 0.909)
S (0.720, 0.720, 0.411)
S (0.745, 0.745, 0.880)
S (0.810, 0.810, 0.309)
S (0.831, 0.831, 0.848)
S (0.865, 0.865, 0.549)
S (0.913, 0.913, 0.248)
S (0.992, 0.992, 0.759)



Record 2
Calculated powder diffractogram of Ce5Mg41 for Cu Kα, 1.54184 Å, from the PBE geometry in the Materials Project.
Lines closer than 0.1° are merged.

The 6 most intense peaks (10 to 90 degrees two-theta), low angle first:
2θ 15.83, I 100.0
2θ 29.00, I 63.7
2θ 31.35, I 64.2
2θ 31.98, I 75.3
2θ 35.30, I 82.7
2θ 35.92, I 58.0

Cell and atoms:
Unit cell a=11.713 b=11.713 c=11.713 alpha=101.43 beta=101.43 gamma=127.13
Atoms (fractional coordinates):
Ce (0.000, 0.000, 0.000)
Ce (0.237, 0.571, 0.808)
Ce (0.429, 0.237, 0.666)
Ce (0.571, 0.763, 0.334)
Ce (0.763, 0.429, 0.192)
Mg (0.000, 0.000, 0.500)
Mg (0.000, 0.500, 0.000)
Mg (0.010, 0.403, 0.413)
Mg (0.080, 0.792, 0.166)
Mg (0.086, 0.920, 0.712)
Mg (0.109, 0.818, 0.444)
Mg (0.122, 0.778, 0.900)
Mg (0.174, 0.234, 0.787)
Mg (0.182, 0.626, 0.291)
Mg (0.208, 0.374, 0.288)
Mg (0.217, 0.341, 0.558)
Mg (0.222, 0.122, 0.343)
Mg (0.234, 0.446, 0.059)
Mg (0.334, 0.891, 0.709)
Mg (0.341, 0.783, 0.124)
Mg (0.374, 0.086, 0.166)
Mg (0.374, 0.666, 0.556)
Mg (0.387, 0.174, 0.941)
Mg (0.403, 0.990, 0.394)
Mg (0.446, 0.387, 0.213)
Mg (0.500, 0.000, 0.000)
Mg (0.500, 0.500, 0.000)
Mg (0.500, 0.500, 0.500)
Mg (0.554, 0.613, 0.787)
Mg (0.597, 0.010, 0.606)
Mg (0.613, 0.826, 0.059)
Mg (0.626, 0.334, 0.444)
Mg (0.626, 0.914, 0.834)
Mg (0.659, 0.217, 0.876)
Mg (0.666, 0.109, 0.291)
Mg (0.766, 0.554, 0.941)
Mg (0.778, 0.878, 0.657)
Mg (0.783, 0.659, 0.442)
Mg (0.792, 0.626, 0.712)
Mg (0.818, 0.374, 0.709)
Mg (0.826, 0.766, 0.213)
Mg (0.878, 0.222, 0.100)
Mg (0.891, 0.182, 0.556)
Mg (0.914, 0.080, 0.288)
Mg (0.920, 0.208, 0.834)
Mg (0.990, 0.597, 0.587)



Record 3
Calculated powder diffractogram of CeMg for Cu Kα, 1.54184 Å, from the PBE geometry in the Materials Project.
Lines closer than 0.1° are merged.

The 6 most intense peaks (10 to 90 degrees two-theta), low angle first:
2θ 18.54, I 80.1
2θ 28.59, I 20.5
2θ 31.10, I 63.0
2θ 34.89, I 38.5
2θ 35.89, I 100.0
2θ 58.48, I 25.6

Cell and atoms:
Unit cell a=5.752 b=3.175 c=17.249 alpha=90.00 beta=90.00 gamma=90.00
Atoms (fractional coordinates):
Ce (0.000, 0.000, 0.000)
Ce (0.000, 0.000, 0.355)
Ce (0.000, 0.500, 0.500)
Ce (0.000, 0.500, 0.855)
Ce (0.500, 0.000, 0.224)
Ce (0.500, 0.500, 0.724)
Mg (0.000, 0.000, 0.673)
Mg (0.000, 0.500, 0.173)
Mg (0.500, 0.000, 0.555)
Mg (0.500, 0.000, 0.901)
Mg (0.500, 0.500, 0.055)
Mg (0.500, 0.500, 0.401)



Record 4
Calculated powder diffractogram of Ce2Mg for Cu Kα, 1.54184 Å, from the PBE geometry in the Materials Project.
Lines closer than 0.1° are merged.

The 6 most intense peaks (10 to 90 degrees two-theta), low angle first:
2θ 31.51, I 30.7
2θ 31.76, I 22.7
2θ 35.57, I 100.0
2θ 56.58, I 17.4
2θ 58.77, I 23.0
2θ 66.21, I 21.4

Cell and atoms:
Unit cell a=3.253 b=3.253 c=17.034 alpha=90.00 beta=90.00 gamma=120.00
Atoms (fractional coordinates):
Ce (0.333, 0.667, 0.251)
Ce (0.333, 0.667, 0.918)
Ce (0.667, 0.333, 0.082)
Ce (0.667, 0.333, 0.749)
Mg (0.333, 0.667, 0.578)
Mg (0.667, 0.333, 0.422)



Record 5
Calculated powder diffractogram of Ce3Mg for Cu Kα, 1.54184 Å, from the PBE geometry in the Materials Project.
Lines closer than 0.1° are merged.

The 6 most intense peaks (10 to 90 degrees two-theta), low angle first:
2θ 30.42, I 33.8
2θ 32.36, I 25.8
2θ 35.87, I 100.0
2θ 45.01, I 20.6
2θ 57.68, I 41.6
2θ 66.64, I 21.2

Cell and atoms:
Unit cell a=3.195 b=3.195 c=11.753 alpha=90.00 beta=90.00 gamma=120.00
Atoms (fractional coordinates):
Ce (0.000, 0.000, 0.000)
Ce (0.333, 0.667, 0.251)
Ce (0.333, 0.667, 0.749)
Mg (0.000, 0.000, 0.500)



Record 6
Calculated powder diffractogram of CeMg5 for Cu Kα, 1.54184 Å, from the PBE geometry in the Materials Project.
Lines closer than 0.1° are merged.

The 6 most intense peaks (10 to 90 degrees two-theta), low angle first:
2θ 10.97, I 60.6
2θ 16.48, I 27.6
2θ 32.49, I 33.9
2θ 32.98, I 30.4
2θ 34.39, I 30.0
2θ 36.64, I 100.0

Cell and atoms:
Unit cell a=3.182 b=3.182 c=16.137 alpha=90.00 beta=90.00 gamma=120.00
Atoms (fractional coordinates):
Ce (0.000, 0.000, 0.000)
Mg (0.000, 0.000, 0.338)
Mg (0.000, 0.000, 0.662)
Mg (0.333, 0.667, 0.179)
Mg (0.333, 0.667, 0.500)
Mg (0.333, 0.667, 0.821)



Record 7
Calculated powder diffractogram of Ce2Mg for Cu Kα, 1.54184 Å, from the PBE geometry in the Materials Project.
Lines closer than 0.1° are merged.

The 6 most intense peaks (10 to 90 degrees two-theta), low angle first:
2θ 14.71, I 26.3
2θ 29.68, I 36.4
2θ 32.97, I 29.2
2θ 36.28, I 100.0
2θ 44.95, I 24.7
2θ 57.06, I 26.8

Cell and atoms:
Unit cell a=3.137 b=3.137 c=18.062 alpha=90.00 beta=90.00 gamma=120.00
Atoms (fractional coordinates):
Ce (0.000, 0.000, 0.000)
Ce (0.000, 0.000, 0.334)
Ce (0.000, 0.000, 0.666)
Ce (0.667, 0.333, 0.500)
Mg (0.667, 0.333, 0.167)
Mg (0.667, 0.333, 0.833)



Record 8
Calculated powder diffractogram of CeMg for Cu Kα, 1.54184 Å, from the PBE geometry in the Materials Project.
Lines closer than 0.1° are merged.

The 6 most intense peaks (10 to 90 degrees two-theta), low angle first:
2θ 31.62, I 20.7
2θ 33.28, I 38.1
2θ 34.36, I 43.5
2θ 35.85, I 100.0
2θ 41.30, I 23.6
2θ 61.14, I 21.3

Cell and atoms:
Unit cell a=5.385 b=3.214 c=17.901 alpha=90.00 beta=90.00 gamma=90.00
Atoms (fractional coordinates):
Ce (0.000, 0.000, 0.000)
Ce (0.000, 0.000, 0.346)
Ce (0.000, 0.500, 0.500)
Ce (0.000, 0.500, 0.846)
Ce (0.500, 0.000, 0.887)
Ce (0.500, 0.500, 0.387)
Mg (0.000, 0.000, 0.671)
Mg (0.000, 0.500, 0.171)
Mg (0.500, 0.000, 0.221)
Mg (0.500, 0.000, 0.567)
Mg (0.500, 0.500, 0.067)
Mg (0.500, 0.500, 0.721)